# 1
Calculated powder XRD pattern of Pm2Ga5Cu3 for Cu Kα (λ = 1.5418 Å), from the GGA-PBE geometry in Alexandria.
Peak positions follow from Bragg's law for the DFT cell and can differ from measured ones.

Crystal structure
a = 10.2204 Å, b = 11.9438 Å, c = 5.9523 Å
α = 90.00°, β = 90.00°, γ = 90.00°
Space group Ibam (No. 72)
Symmetry-distinct sites (fractional):
Pm1 0.2397 0.1297 0.0000 (multiplicity 8)
Ga1 0.0000 0.0000 0.2500 (multiplicity 4)
Ga2 0.0000 0.2644 0.2500 (multiplicity 8)
Ga3 0.1501 0.3907 0.0000 (multiplicity 8)
Cu1 0.0000 0.5000 0.2500 (multiplicity 4)
Cu2 0.1164 0.1318 0.5000 (multiplicity 8)

Principal peaks in the range 2θ from 10° to 80°, in order of rising 2θ:
33.83°, d 2.650, rel. 58; 34.84°, d 2.575, rel. 100; 42.90°, d 2.108, rel. 54; 49.56°, d 1.839, rel. 24; 55.66°, d 1.651, rel. 13; 55.78°, d 1.648, rel. 14; 62.83°, d 1.479, rel. 11; 67.65°, d 1.385, rel. 9; 73.32°, d 1.291, rel. 9; 73.48°, d 1.289, rel. 12

***

# 2
Calculated powder XRD pattern of Ba3InHg2 for Cu Kα (λ = 1.5418 Å), from the GGA-PBE geometry in Alexandria.
Peak positions follow from Bragg's law for the DFT cell and can differ from measured ones.

Crystal structure
a = 5.9761 Å, b = 17.8846 Å, c = 4.2531 Å
α = 90.00°, β = 90.00°, γ = 90.00°
Space group Cmmm (No. 65)
Symmetry-distinct sites (fractional):
Ba1 0.0000 0.0000 0.0000 (multiplicity 2)
Ba2 0.0000 0.3316 0.0000 (multiplicity 4)
In1 0.0000 0.5000 0.5000 (multiplicity 2)
Hg1 0.0000 0.1628 0.5000 (multiplicity 4)

Principal peaks in the range 2θ from 10° to 80°, in order of rising 2θ:
29.84°, d 2.994, rel. 100; 29.98°, d 2.981, rel. 20; 42.51°, d 2.127, rel. 8; 42.85°, d 2.110, rel. 15; 52.86°, d 1.732, rel. 16; 53.08°, d 1.725, rel. 32; 61.95°, d 1.498, rel. 10; 70.01°, d 1.344, rel. 7; 70.50°, d 1.336, rel. 10; 70.63°, d 1.334, rel. 3